The following is a calculated powder diffraction line list of Tl2GeWO6. It was derived from a PBE+U-relaxed structure, using copper Kα.

Atomic structure:
```
Tl2GeWO6
1.0
-2.8162 2.8162 3.9921
2.8162 -2.8162 3.9921
2.8162 2.8162 -3.9921
Tl Ge W O
2 1 1 6
direct
0.2500 0.7500 0.5000 Tl
0.7500 0.2500 0.5000 Tl
0.0000 0.0000 0.0000 Ge
0.5000 0.5000 0.0000 W
0.2513 0.2513 0.0000 O
0.2506 0.2506 0.5012 O
0.2506 0.7494 0.0000 O
0.7494 0.2506 0.0000 O
0.7487 0.7487 0.0000 O
0.7494 0.7494 0.4988 O
```

Main lines, most intense first (10° ≤ 2θ ≤ 90°):
2theta	d_spacing	I_rel
31.75	2.818	100
56.56	1.627	41
45.55	1.991	18
66.33	1.409	17
75.47	1.260	12
45.44	1.996	9
19.29	4.602	6
75.30	1.262	6
84.13	1.151	6
39.15	2.301	6
37.42	2.404	4
22.30	3.986	3